Record 1
Structure and calculated powder diffractogram of Sm2TmTe3 (a GGA-PBE-relaxed structure; a wavelength of 1.5418 Å).
No peak broadening, texture or thermal motion is included.

Lattice parameters (Å, degrees): 4.405 6.194 13.229 90.00 90.00 90.00
Space group Immm (No. 71)
Symmetry-distinct sites (fractional):
Sm1 0.000 0.000 0.175 [4 per cell]
Tm1 0.000 0.000 0.500 [2 per cell]
Te1 0.000 0.500 0.157 [4 per cell]
Te2 0.000 0.500 0.500 [2 per cell]

Most intense lines, 2θ from 10° to 90°, by angle:
| 2θ/deg | d_spacing | I_rel | (hkl) |
| --- | --- | --- | --- |
| 28.64 | 3.116 | 100 | 1 0 3 |
| 28.83 | 3.097 | 50 | 0 2 0 |
| 40.96 | 2.204 | 37 | 2 0 0 |
| 41.09 | 2.197 | 75 | 1 2 3 |
| 50.83 | 1.796 | 19 | 0 2 6 |
| 50.87 | 1.795 | 21 | 2 2 0 |
| 67.55 | 1.387 | 17 | 1 4 3 |
| 74.69 | 1.271 | 24 | 3 2 3 |

***

Record 2
Structure and calculated powder diffractogram of Pa2SnSe6 (a GGA-PBE-relaxed structure; a wavelength of 1.5418 Å).
No peak broadening, texture or thermal motion is included.

Lattice parameters (Å, degrees): 13.926 12.796 7.164 90.00 103.20 90.00
Space group C2/c (No. 15)
Symmetry-distinct sites (fractional):
Pa1 0.239 0.086 0.490 [8 per cell]
Sn1 0.000 0.397 0.750 [4 per cell]
Se1 0.131 0.445 0.139 [8 per cell]
Se2 0.134 0.065 0.123 [8 per cell]
Se3 0.138 0.256 0.590 [8 per cell]

Most intense lines, 2θ from 10° to 90°, by angle:
| 2θ/deg | d_spacing | I_rel | (hkl) |
| --- | --- | --- | --- |
| 13.06 | 6.779 | 50 | 2 0 0 |
| 13.84 | 6.398 | 31 | 0 2 0 |
| 17.04 | 5.204 | 46 | 1 1 1 |
| 29.63 | 3.015 | 100 | 3 3 -1 |
| 31.41 | 2.848 | 46 | 2 0 2 |
| 42.40 | 2.132 | 35 | 6 0 -2 |
| 43.49 | 2.081 | 34 | 1 3 -3 |
| 43.96 | 2.060 | 33 | 5 3 1 |

***

Record 3
Structure and calculated powder diffractogram of CsH4Au (a GGA-PBE-relaxed structure; a wavelength of 1.5418 Å).
No peak broadening, texture or thermal motion is included.

Lattice parameters (Å, degrees): 5.704 7.070 5.109 90.00 90.68 90.00
Space group P2/c (No. 13)
Symmetry-distinct sites (fractional):
Cs1 0.000 0.208 0.250 [2 per cell]
H1 0.287 0.210 0.781 [4 per cell]
H2 0.331 0.471 0.455 [4 per cell]
Au1 0.500 0.374 0.750 [2 per cell]

Most intense lines, 2θ from 10° to 90°, by angle:
| 2θ/deg | d_spacing | I_rel | (hkl) |
| --- | --- | --- | --- |
| 12.52 | 7.070 | 44 | 0 1 0 |
| 20.00 | 4.439 | 83 | 1 1 0 |
| 26.48 | 3.366 | 100 | 1 1 -1 |
| 26.73 | 3.336 | 98 | 1 1 1 |
| 30.76 | 2.907 | 65 | 0 2 1 |
| 31.36 | 2.852 | 48 | 2 0 0 |
| 35.13 | 2.554 | 36 | 0 0 2 |
| 44.35 | 2.043 | 25 | 2 2 -1 |

***

Record 4
Structure and calculated powder diffractogram of YScInGa (a GGA-PBE-relaxed structure; a wavelength of 1.5418 Å).
No peak broadening, texture or thermal motion is included.

Lattice parameters (Å, degrees): 3.522 3.522 7.342 90.00 90.00 90.00
Space group P4mm (No. 99)
Symmetry-distinct sites (fractional):
Y1 0.000 0.000 0.000 [1 per cell]
Sc1 0.000 0.000 0.468 [1 per cell]
In1 0.500 0.500 0.716 [1 per cell]
Ga1 0.500 0.500 0.253 [1 per cell]

Most intense lines, 2θ from 10° to 90°, by angle:
| 2θ/deg | d_spacing | I_rel | (hkl) |
| --- | --- | --- | --- |
| 28.10 | 3.176 | 14 | 1 0 1 |
| 35.32 | 2.541 | 100 | 1 0 2 |
| 36.06 | 2.490 | 50 | 1 1 0 |
| 49.67 | 1.835 | 8 | 0 0 4 |
| 51.92 | 1.761 | 17 | 2 0 0 |
| 62.90 | 1.478 | 15 | 1 1 4 |
| 64.36 | 1.447 | 33 | 2 1 2 |
| 74.70 | 1.271 | 9 | 2 0 4 |

***

Record 5
Structure and calculated powder diffractogram of KAl3Ge3 (a GGA-PBE-relaxed structure; a wavelength of 1.5418 Å).
No peak broadening, texture or thermal motion is included.

Lattice parameters (Å, degrees): 6.9867 6.9867 26.8343 90.00 90.00 120.00
Space group R-3 (No. 148, hexagonal axes)
Symmetry-distinct sites (fractional):
K1 0.0000 0.0000 0.1666 [6 per cell]
Al1 0.0015 0.6637 0.3612 [18 per cell]
Ge1 0.9998 0.3276 0.4048 [18 per cell]

Most intense lines, 2θ from 10° to 90°, by angle:
| 2θ/deg | d_spacing | I_rel | (hkl) |
| --- | --- | --- | --- |
| 19.84 | 4.475 | 17 | 0 0 6 |
| 25.50 | 3.493 | 22 | 1 1 0 |
| 27.41 | 3.254 | 100 | 1 1 3 |
| 32.52 | 2.753 | 29 | 2 -1 6 |
| 39.75 | 2.268 | 54 | 1 1 9 |
| 44.94 | 2.017 | 44 | 3 0 0 |
| 48.33 | 1.883 | 27 | 2 -1 12 |
| 53.45 | 1.714 | 15 | 4 -2 3 |

***

Record 6
Structure and calculated powder diffractogram of SrCa2BiSb (a GGA-PBE-relaxed structure; a wavelength of 1.5418 Å).
No peak broadening, texture or thermal motion is included.

Lattice parameters (Å, degrees): 5.342 5.342 7.647 90.00 90.00 90.00
Space group P4mm (No. 99)
Symmetry-distinct sites (fractional):
Sr1 0.000 0.000 0.000 [1 per cell]
Ca1 0.000 0.500 0.401 [2 per cell]
Bi1 0.500 0.500 0.135 [1 per cell]
Sb1 0.000 0.000 0.585 [1 per cell]

Most intense lines, 2θ from 10° to 90°, by angle:
| 2θ/deg | d_spacing | I_rel | (hkl) |
| --- | --- | --- | --- |
| 20.28 | 4.379 | 100 | 1 0 1 |
| 23.55 | 3.777 | 54 | 1 1 0 |
| 26.32 | 3.387 | 29 | 1 1 1 |
| 33.34 | 2.687 | 68 | 1 1 2 |
| 33.55 | 2.671 | 52 | 2 0 0 |
| 39.16 | 2.301 | 34 | 1 0 3 |
| 39.52 | 2.280 | 37 | 2 1 1 |
| 52.50 | 1.743 | 29 | 2 1 3 |

***

Record 7
Structure and calculated powder diffractogram of Nd3TlGe (a GGA-PBE-relaxed structure; a wavelength of 1.5418 Å).
No peak broadening, texture or thermal motion is included.

Lattice parameters (Å, degrees): 7.067 9.874 16.811 90.00 90.00 90.00
Space group Fmmm (No. 69)
Symmetry-distinct sites (fractional):
Nd1 0.000 0.000 0.191 [8 per cell]
Nd2 0.000 0.190 0.395 [16 per cell]
Tl1 0.207 0.000 0.000 [8 per cell]
Ge1 0.250 0.250 0.250 [8 per cell]

Most intense lines, 2θ from 10° to 90°, by angle:
| 2θ/deg | d_spacing | I_rel | (hkl) |
| --- | --- | --- | --- |
| 27.88 | 3.200 | 48 | 0 2 4 |
| 30.43 | 2.938 | 74 | 1 3 1 |
| 30.81 | 2.902 | 64 | 1 1 5 |
| 32.94 | 2.719 | 100 | 2 2 2 |
| 33.12 | 2.705 | 72 | 2 0 4 |
| 36.89 | 2.437 | 58 | 0 2 6 |
| 50.34 | 1.813 | 27 | 3 3 3 |
| 55.50 | 1.656 | 36 | 1 5 5 |

***

Record 8
Structure and calculated powder diffractogram of Dy3ErPb4 (a GGA-PBE-relaxed structure; a wavelength of 1.5418 Å).
No peak broadening, texture or thermal motion is included.

Lattice parameters (Å, degrees): 11.125 6.399 6.401 90.00 90.00 90.00
Space group Pmn2_1 (No. 31)
Symmetry-distinct sites (fractional):
Dy1 0.000 0.001 0.000 [2 per cell]
Dy2 0.250 0.251 0.250 [4 per cell]
Er1 0.000 0.500 0.500 [2 per cell]
Pb1 0.000 0.000 0.500 [2 per cell]
Pb2 0.000 0.501 0.000 [2 per cell]
Pb3 0.250 0.249 0.750 [4 per cell]

Most intense lines, 2θ from 10° to 90°, by angle:
| 2θ/deg | d_spacing | I_rel | (hkl) |
| --- | --- | --- | --- |
| 32.26 | 2.775 | 100 | 4 0 0 |
| 39.84 | 2.263 | 23 | 0 2 2 |
| 52.11 | 1.755 | 21 | 4 2 2 |
| 57.44 | 1.604 | 16 | 6 2 0 |
| 57.61 | 1.600 | 8 | 0 4 0 |
| 67.58 | 1.386 | 29 | 4 4 0 |
| 81.19 | 1.185 | 6 | 8 2 2 |
| 85.77 | 1.133 | 11 | 6 4 2 |

***

Record 9
Structure and calculated powder diffractogram of Th3NiSb2 (a GGA-PBE-relaxed structure; a wavelength of 1.5418 Å).
No peak broadening, texture or thermal motion is included.

Lattice parameters (Å, degrees): 12.608 4.247 12.118 90.00 90.00 90.00
Space group Pnma (No. 62)
Symmetry-distinct sites (fractional):
Th1 0.053 0.250 0.117 [4 per cell]
Th2 0.118 0.750 0.553 [4 per cell]
Th3 0.232 0.250 0.774 [4 per cell]
Ni1 0.122 0.250 0.370 [4 per cell]
Sb1 0.013 0.750 0.306 [4 per cell]
Sb2 0.195 0.750 0.986 [4 per cell]

Most intense lines, 2θ from 10° to 90°, by angle:
| 2θ/deg | d_spacing | I_rel | (hkl) |
| --- | --- | --- | --- |
| 29.31 | 3.047 | 51 | 4 0 1 |
| 30.54 | 2.927 | 100 | 0 1 3 |
| 30.83 | 2.901 | 39 | 3 1 1 |
| 32.01 | 2.796 | 32 | 4 0 2 |
| 32.80 | 2.730 | 29 | 2 0 4 |
| 33.44 | 2.679 | 34 | 3 1 2 |
| 36.26 | 2.478 | 39 | 4 1 1 |
| 42.57 | 2.124 | 40 | 0 2 0 |

***

Record 10
Structure and calculated powder diffractogram of IrCl3 (a GGA-PBE-relaxed structure; a wavelength of 1.5418 Å).
No peak broadening, texture or thermal motion is included.

Lattice parameters (Å, degrees): 7.380 9.986 21.198 90.00 90.00 90.00
Space group Fddd (No. 70, origin choice 2)
Symmetry-distinct sites (fractional):
Ir1 0.125 0.125 0.041 [16 per cell]
Cl1 0.088 0.375 0.375 [16 per cell]
Cl2 0.104 0.362 0.213 [32 per cell]

Most intense lines, 2θ from 10° to 90°, by angle:
| 2θ/deg | d_spacing | I_rel | (hkl) |
| --- | --- | --- | --- |
| 15.50 | 5.716 | 100 | 1 1 1 |
| 16.73 | 5.300 | 13 | 0 0 4 |
| 19.65 | 4.517 | 17 | 0 2 2 |
| 25.82 | 3.450 | 22 | 1 1 5 |
| 29.74 | 3.004 | 17 | 1 3 1 |
| 35.17 | 2.552 | 34 | 2 0 6 |
| 35.97 | 2.497 | 16 | 0 4 0 |
| 51.19 | 1.785 | 22 | 2 4 6 |

***

Record 11
Structure and calculated powder diffractogram of PmBe2SiN (a GGA-PBE-relaxed structure; a wavelength of 1.5418 Å).
No peak broadening, texture or thermal motion is included.

Lattice parameters (Å, degrees): 3.738 10.801 6.576 90.00 90.00 90.00
Space group Cmcm (No. 63)
Symmetry-distinct sites (fractional):
Pm1 0.000 0.058 0.250 [4 per cell]
Be1 0.000 0.356 0.071 [8 per cell]
Si1 0.000 0.221 0.750 [4 per cell]
N1 0.000 0.500 0.000 [4 per cell]

Most intense lines, 2θ from 10° to 90°, by angle:
| 2θ/deg | d_spacing | I_rel | (hkl) |
| --- | --- | --- | --- |
| 16.41 | 5.401 | 33 | 0 2 0 |
| 21.29 | 4.174 | 27 | 0 2 1 |
| 25.21 | 3.533 | 39 | 1 1 0 |
| 27.12 | 3.288 | 27 | 0 0 2 |
| 35.95 | 2.498 | 31 | 0 4 1 |
| 37.32 | 2.410 | 100 | 1 1 2 |
| 50.74 | 1.799 | 13 | 1 5 1 |
| 54.84 | 1.674 | 15 | 1 3 3 |

***

Record 12
Structure and calculated powder diffractogram of NaInAgH2 (a GGA-PBE-relaxed structure; a wavelength of 1.5418 Å).
No peak broadening, texture or thermal motion is included.

Lattice parameters (Å, degrees): 4.062 4.062 5.634 90.00 90.00 90.00
Space group P4/mmm (No. 123)
Symmetry-distinct sites (fractional):
Na1 0.000 0.000 0.000 [1 per cell]
In1 0.500 0.500 0.500 [1 per cell]
Ag1 0.500 0.500 0.000 [1 per cell]
H1 0.000 0.500 0.500 [2 per cell]

Most intense lines, 2θ from 10° to 90°, by angle:
| 2θ/deg | d_spacing | I_rel | (hkl) |
| --- | --- | --- | --- |
| 21.88 | 4.062 | 100 | 1 0 0 |
| 31.14 | 2.872 | 62 | 1 1 0 |
| 31.77 | 2.817 | 31 | 0 0 2 |
| 38.91 | 2.315 | 45 | 1 0 2 |
| 44.61 | 2.031 | 23 | 2 0 0 |
| 45.08 | 2.011 | 44 | 1 1 2 |
| 55.80 | 1.648 | 23 | 2 0 2 |
| 60.66 | 1.527 | 23 | 2 1 2 |